Entry 1:
Diffraction record for Zn4GaAg7. The PXRD pattern is theoretical, not measured: it uses a crystal structure in Alexandria, relaxed with PBE and CuKα.

Top 12 peaks for 15° ≤ 2θ ≤ 90°, by intensity:
2θ 40.6, I 1000; 2θ 37.6, I 883; 2θ 41.7, I 710; 2θ 39.7, I 497; 2θ 27.1, I 438; 2θ 30.4, I 366; 2θ 55.8, I 350; 2θ 34.5, I 241; 2θ 31.9, I 186; 2θ 69.9, I 184; 2θ 49.1, I 183; 2θ 76.0, I 168

Structural model:
```
Zn4GaAg7
1.0
6.2287 -2.3930 0.0000
6.2287 2.3930 0.0000
-5.7457 0.0000 7.5133
Zn Ga Ag
4 1 7
direct
0.0747 0.0747 0.2861 Zn
0.1976 0.1976 0.8435 Zn
0.8024 0.8024 0.1565 Zn
0.9253 0.9253 0.7139 Zn
0.5000 0.5000 0.5000 Ga
0.0000 0.0000 0.5000 Ag
0.1565 0.1565 0.0907 Ag
0.2834 0.2834 0.6420 Ag
0.4334 0.4334 0.1577 Ag
0.5666 0.5666 0.8423 Ag
0.7166 0.7166 0.3580 Ag
0.8435 0.8435 0.9093 Ag
```

Entry 2:
Diffraction record for Y2Sb3Rh5. The PXRD pattern is theoretical, not measured: it uses a crystal structure in Alexandria, relaxed with PBE and CuKα.

Top 12 peaks for 15° ≤ 2θ ≤ 90°, by intensity:
2θ 34.6, I 1000; 2θ 41.4, I 718; 2θ 45.4, I 298; 2θ 37.9, I 284; 2θ 46.2, I 224; 2θ 33.0, I 168; 2θ 37.4, I 153; 2θ 72.2, I 129; 2θ 33.2, I 125; 2θ 37.6, I 120; 2θ 71.0, I 95; 2θ 24.5, I 82

Structural model:
```
Y2Sb3Rh5
1.0
2.1834 -12.7321 0.0000
2.1834 12.7321 0.0000
0.0000 0.0000 6.9835
Y Sb Rh
4 6 10
direct
0.0130 0.9870 0.5000 Y
0.3203 0.6797 0.5626 Y
0.6797 0.3203 0.0626 Y
0.9870 0.0130 0.0000 Y
0.1099 0.8901 0.2582 Sb
0.2818 0.7182 0.1168 Sb
0.4487 0.5513 0.2788 Sb
0.5513 0.4487 0.7788 Sb
0.7182 0.2818 0.6168 Sb
0.8901 0.1099 0.7582 Sb
0.1035 0.8965 0.8706 Rh
0.2052 0.7948 0.3959 Rh
0.2209 0.7791 0.8181 Rh
0.3790 0.6210 0.9979 Rh
0.4470 0.5530 0.6579 Rh
0.5530 0.4470 0.1579 Rh
0.6210 0.3790 0.4979 Rh
0.7791 0.2209 0.3181 Rh
0.7948 0.2052 0.8959 Rh
0.8965 0.1035 0.3706 Rh
```